# 1
This entry pairs a crystal structure of Sr2Ga6Rh9 with its computed X-ray powder pattern. Radiation: Cu Kα, 1.54184 Å. Structure: a GGA-PBE-relaxed structure.

Structure:
abc: 5.6700 5.6700 11.5357
angles: 90.00 90.00 120.00
Space group P6/mmm (No. 191)
Symmetry-distinct sites (fractional):
Sr1 0.0000 0.0000 0.1896 x2
Ga1 0.3333 0.6667 0.1665 x4
Ga2 0.3333 0.6667 0.5000 x2
Rh1 0.0000 0.5000 0.0000 x3
Rh2 0.0000 0.5000 0.3324 x6

Principal peaks in the range 5° ≤ 2θ ≤ 70°, by angle:
hkl 1 0 0, 2θ 18.07, d 4.910, rel. 57.8; hkl 2 0 0, 2θ 36.60, d 2.455, rel. 60.3; hkl 1 1 3, 2θ 39.49, d 2.282, rel. 100.0; hkl 2 0 3, 2θ 43.75, d 2.069, rel. 90.2; hkl 0 0 6, 2θ 47.28, d 1.923, rel. 26.5; hkl 2 2 0, 2θ 65.89, d 1.418, rel. 31.1

***

# 2
This entry pairs a crystal structure of SrGaRh2 with its computed X-ray powder pattern. Radiation: Cu Kα, 1.54184 Å. Structure: a GGA-PBE-relaxed structure.

Structure:
abc: 4.809 4.809 16.833
angles: 90.00 90.00 90.00
Space group I-42d (No. 122)
Symmetry-distinct sites (fractional):
Sr1 0.000 0.000 0.000 x4
Ga1 0.000 0.000 0.500 x4
Rh1 0.083 0.250 0.625 x8

Principal peaks in the range 5° ≤ 2θ ≤ 70°, by angle:
hkl 1 0 1, 2θ 19.19, d 4.624, rel. 47.1; hkl 1 0 3, 2θ 24.38, d 3.651, rel. 41.4; hkl 1 1 2, 2θ 28.31, d 3.153, rel. 100.0; hkl 1 1 6, 2θ 41.74, d 2.164, rel. 34.6; hkl 2 1 1, 2θ 42.37, d 2.133, rel. 33.3; hkl 2 0 4, 2θ 43.34, d 2.088, rel. 38.1

***

# 3
This entry pairs a crystal structure of Sr2Ga6Rh with its computed X-ray powder pattern. Radiation: Cu Kα, 1.54184 Å. Structure: a GGA-PBE-relaxed structure.

Structure:
abc: 6.0768 6.0768 5.8780
angles: 90.00 90.00 120.00
Space group P-3m1 (No. 164)
Symmetry-distinct sites (fractional):
Sr1 0.3333 0.6667 0.1586 x2
Ga1 0.1683 0.3365 0.6733 x6
Rh1 0.0000 0.0000 0.0000 x1

Principal peaks in the range 5° ≤ 2θ ≤ 70°, by angle:
hkl 1 1 1, 2θ 33.19, d 2.699, rel. 41.6; hkl 0 1 2, 2θ 34.97, d 2.566, rel. 35.4; hkl 2 0 1, 2θ 37.45, d 2.402, rel. 100.0; hkl 0 2 2, 2θ 46.32, d 1.960, rel. 27.6; hkl 1 2 2, 2θ 55.81, d 1.647, rel. 22.4; hkl 2 2 0, 2θ 60.99, d 1.519, rel. 24.9

***

# 4
This entry pairs a crystal structure of Sr2Ga6TcRh with its computed X-ray powder pattern. Radiation: Cu Kα, 1.54184 Å. Structure: a GGA-PBE-relaxed structure.

Structure:
abc: 9.674 9.678 6.840
angles: 90.00 134.94 90.00
Space group C2/m (No. 12)
Symmetry-distinct sites (fractional):
Sr1 0.000 0.250 0.000 x4
Ga1 0.000 0.249 0.500 x4
Ga2 0.249 0.000 0.500 x4
Ga3 0.249 0.000 0.998 x4
Tc1 0.000 0.500 0.500 x2
Rh1 0.000 0.000 0.500 x2

Principal peaks in the range 5° ≤ 2θ ≤ 70°, by angle:
hkl 0 2 0, 2θ 18.33, d 4.839, rel. 28.3; hkl 2 0 0, 2θ 26.04, d 3.422, rel. 42.5; hkl 2 2 0, 2θ 32.04, d 2.794, rel. 49.8; hkl 0 4 0, 2θ 37.16, d 2.420, rel. 100.0; hkl 4 0 0, 2θ 53.56, d 1.711, rel. 68.0; hkl 4 4 0, 2θ 66.99, d 1.397, rel. 22.7

***

# 5
This entry pairs a crystal structure of Sr2Zn4Ga3Rh with its computed X-ray powder pattern. Radiation: Cu Kα, 1.54184 Å. Structure: a GGA-PBE-relaxed structure.

Structure:
abc: 4.335 4.335 10.815
angles: 90.00 90.00 90.00
Space group P-4m2 (No. 115)
Symmetry-distinct sites (fractional):
Sr1 0.000 0.500 0.248 x2
Zn1 0.000 0.000 0.500 x1
Zn2 0.000 0.500 0.871 x2
Zn3 0.500 0.500 0.500 x1
Ga1 0.000 0.000 0.000 x1
Ga2 0.000 0.500 0.633 x2
Rh1 0.500 0.500 0.000 x1

Principal peaks in the range 5° ≤ 2θ ≤ 70°, by angle:
hkl 1 0 3, 2θ 32.30, d 2.772, rel. 53.4; hkl 1 1 2, 2θ 33.61, d 2.667, rel. 100.0; hkl 2 0 0, 2θ 41.67, d 2.167, rel. 63.1; hkl 1 1 4, 2θ 44.69, d 2.028, rel. 30.9; hkl 1 0 5, 2θ 46.95, d 1.935, rel. 24.7; hkl 2 1 3, 2θ 53.68, d 1.707, rel. 24.5

***

# 6
This entry pairs a crystal structure of SrZn2GaRh2 with its computed X-ray powder pattern. Radiation: Cu Kα, 1.54184 Å. Structure: a GGA-PBE-relaxed structure.

Structure:
abc: 4.642 4.642 5.900
angles: 90.00 90.00 90.00
Space group P4/mmm (No. 123)
Symmetry-distinct sites (fractional):
Sr1 0.000 0.000 0.000 x1
Zn1 0.500 0.500 0.264 x2
Ga1 0.000 0.000 0.500 x1
Rh1 0.000 0.500 0.500 x2

Principal peaks in the range 5° ≤ 2θ ≤ 70°, by angle:
hkl 0 0 1, 2θ 15.02, d 5.900, rel. 89.6; hkl 1 1 1, 2θ 31.18, d 2.868, rel. 62.3; hkl 1 0 2, 2θ 36.08, d 2.490, rel. 84.4; hkl 2 0 0, 2θ 38.80, d 2.321, rel. 100.0; hkl 2 1 2, 2θ 54.01, d 1.698, rel. 51.0; hkl 2 2 0, 2θ 56.03, d 1.641, rel. 33.3

***

# 7
This entry pairs a crystal structure of Ta3GaRh4 with its computed X-ray powder pattern. Radiation: Cu Kα, 1.54184 Å. Structure: a GGA-PBE-relaxed structure.

Structure:
abc: 9.123 5.704 4.787
angles: 90.00 90.00 90.00
Space group Pmma (No. 51)
Symmetry-distinct sites (fractional):
Ta1 0.000 0.000 0.000 x2
Ta2 0.250 0.000 0.389 x2
Ta3 0.250 0.500 0.377 x2
Ga1 0.000 0.500 0.000 x2
Rh1 0.000 0.252 0.500 x4
Rh2 0.250 0.254 0.877 x4

Principal peaks in the range 5° ≤ 2θ ≤ 70°, by angle:
hkl 1 2 1, 2θ 38.03, d 2.366, rel. 25.4; hkl 1 0 2, 2θ 38.90, d 2.315, rel. 25.5; hkl 4 0 0, 2θ 39.51, d 2.281, rel. 40.6; hkl 2 2 1, 2θ 41.85, d 2.158, rel. 100.0; hkl 3 2 1, 2θ 47.67, d 1.908, rel. 13.4; hkl 3 0 2, 2θ 48.40, d 1.881, rel. 13.6

***

# 8
This entry pairs a crystal structure of TaGaRh with its computed X-ray powder pattern. Radiation: Cu Kα, 1.54184 Å. Structure: a GGA-PBE-relaxed structure.

Structure:
abc: 4.3532 4.3532 2.8382
angles: 90.00 90.00 120.00
Space group P-6m2 (No. 187)
Symmetry-distinct sites (fractional):
Ta1 0.0000 0.0000 0.0000 x1
Ga1 0.3333 0.6667 0.5000 x1
Rh1 0.6667 0.3333 0.5000 x1

Principal peaks in the range 5° ≤ 2θ ≤ 70°, by angle:
hkl 1 0 0, 2θ 23.60, d 3.770, rel. 22.5; hkl 1 0 1, 2θ 39.75, d 2.267, rel. 100.0; hkl 1 1 0, 2θ 41.49, d 2.177, rel. 78.0; hkl 2 0 0, 2θ 48.28, d 1.885, rel. 3.5; hkl 2 0 1, 2θ 58.81, d 1.570, rel. 31.7; hkl 0 0 2, 2θ 65.81, d 1.419, rel. 6.6

***

# 9
This entry pairs a crystal structure of Tb3Ga4Rh2 with its computed X-ray powder pattern. Radiation: Cu Kα, 1.54184 Å. Structure: a GGA-PBE-relaxed structure.

Structure:
abc: 10.806 4.315 8.347
angles: 90.00 109.16 90.00
Space group C2/m (No. 12)
Symmetry-distinct sites (fractional):
Tb1 0.000 0.000 0.000 x2
Tb2 0.131 0.500 0.690 x4
Ga1 0.091 0.000 0.408 x4
Ga2 0.220 0.500 0.072 x4
Rh1 0.180 0.500 0.352 x4

Principal peaks in the range 5° ≤ 2θ ≤ 70°, by angle:
hkl 1 1 -1, 2θ 23.73, d 3.749, rel. 23.7; hkl 3 1 -1, 2θ 32.49, d 2.756, rel. 32.7; hkl 3 1 0, 2θ 33.54, d 2.672, rel. 88.1; hkl 0 0 3, 2θ 34.06, d 2.632, rel. 100.0; hkl 3 1 -3, 2θ 41.52, d 2.175, rel. 67.6; hkl 0 2 0, 2θ 41.87, d 2.158, rel. 51.2

***

# 10
This entry pairs a crystal structure of Tb5GaRh2 with its computed X-ray powder pattern. Radiation: Cu Kα, 1.54184 Å. Structure: a GGA-PBE-relaxed structure.

Structure:
abc: 7.733 7.733 13.196
angles: 90.00 90.00 90.00
Space group I4/mcm (No. 140)
Symmetry-distinct sites (fractional):
Tb1 0.000 0.000 0.000 x4
Tb2 0.162 0.338 0.140 x16
Ga1 0.000 0.000 0.250 x4
Rh1 0.137 0.363 0.500 x8

Principal peaks in the range 5° ≤ 2θ ≤ 70°, by angle:
hkl 1 1 4, 2θ 31.68, d 2.825, rel. 15.5; hkl 2 1 3, 2θ 32.95, d 2.719, rel. 100.0; hkl 2 0 4, 2θ 35.78, d 2.510, rel. 25.2; hkl 3 1 0, 2θ 36.75, d 2.445, rel. 51.4; hkl 4 4 0, 2θ 68.64, d 1.367, rel. 16.2; hkl 5 2 3, 2θ 68.77, d 1.365, rel. 15.1

***

# 11
This entry pairs a crystal structure of TbGa3Rh3 with its computed X-ray powder pattern. Radiation: Cu Kα, 1.54184 Å. Structure: a GGA-PBE-relaxed structure.

Structure:
abc: 7.726 7.726 7.726
angles: 90.00 90.00 90.00
Space group P2_13 (No. 198)
Symmetry-distinct sites (fractional):
Tb1 0.061 0.439 0.561 x4
Ga1 0.012 0.806 0.588 x12
Rh1 0.118 0.618 0.882 x4
Rh2 0.164 0.164 0.164 x4
Rh3 0.216 0.784 0.284 x4

Principal peaks in the range 5° ≤ 2θ ≤ 70°, by angle:
hkl 2 1 1, 2θ 28.30, d 3.154, rel. 20.7; hkl 2 2 0, 2θ 32.79, d 2.731, rel. 22.2; hkl 3 1 0, 2θ 36.79, d 2.443, rel. 100.0; hkl 3 1 1, 2θ 38.65, d 2.329, rel. 31.2; hkl 3 2 0, 2θ 42.17, d 2.143, rel. 48.8; hkl 3 2 1, 2θ 43.85, d 2.065, rel. 80.4

***

# 12
This entry pairs a crystal structure of Tb3Ga8Rh3 with its computed X-ray powder pattern. Radiation: Cu Kα, 1.54184 Å. Structure: a GGA-PBE-relaxed structure.

Structure:
abc: 15.552 4.370 8.917
angles: 90.00 122.97 90.00
Space group C2/m (No. 12)
Symmetry-distinct sites (fractional):
Tb1 0.000 0.000 0.000 x2
Tb2 0.210 0.500 0.696 x4
Ga1 0.006 0.500 0.680 x4
Ga2 0.136 0.000 0.422 x4
Ga3 0.139 0.000 0.844 x4
Ga4 0.150 0.500 0.268 x4
Rh1 0.000 0.000 0.500 x2
Rh2 0.168 0.500 0.004 x4

Principal peaks in the range 5° ≤ 2θ ≤ 70°, by angle:
hkl 1 1 2, 2θ 34.99, d 2.565, rel. 100.0; hkl 5 1 -2, 2θ 35.83, d 2.506, rel. 54.6; hkl 0 0 3, 2θ 36.05, d 2.491, rel. 52.2; hkl 3 1 -3, 2θ 36.58, d 2.457, rel. 72.0; hkl 5 1 -3, 2θ 39.57, d 2.278, rel. 54.2; hkl 0 2 0, 2θ 41.32, d 2.185, rel. 95.8

***

# 13
This entry pairs a crystal structure of ThGa8Rh4 with its computed X-ray powder pattern. Radiation: Cu Kα, 1.54184 Å. Structure: a GGA-PBE-relaxed structure.

Structure:
abc: 8.778 8.778 5.534
angles: 90.00 90.00 90.00
Space group I4/mmm (No. 139)
Symmetry-distinct sites (fractional):
Th1 0.000 0.000 0.000 x2
Ga1 0.000 0.220 0.500 x8
Ga2 0.000 0.350 0.000 x8
Rh1 0.250 0.250 0.250 x8

Principal peaks in the range 5° ≤ 2θ ≤ 70°, by angle:
hkl 2 1 1, 2θ 27.86, d 3.202, rel. 32.1; hkl 3 0 1, 2θ 34.68, d 2.587, rel. 45.3; hkl 2 0 2, 2θ 38.46, d 2.341, rel. 100.0; hkl 3 2 1, 2θ 40.48, d 2.229, rel. 86.1; hkl 4 0 0, 2θ 41.13, d 2.195, rel. 61.9; hkl 2 2 2, 2θ 43.82, d 2.066, rel. 44.7